(1)
CsRbZnO2: simulated powder diffraction line list (Cu Ka), based on a structure optimized by DFT (GGA-PBE).

Peak list (12 most intense, 10 to 80 degrees two-theta, in order of rising 2θ)
2θ (°)	I_rel
21.01	304
24.54	1000
25.22	803
29.46	254
32.91	803
33.06	352
35.64	677
42.17	210
42.64	175
49.55	215
51.54	315
62.11	242

Structure:
Cell: 6.0629 7.0613 5.8985 Å, 90.00 90.00 90.00°
Fractional coordinates of all 10 atoms:
Cs  0.2500  0.0000  0.1965
Cs  0.7500  0.0000  0.8035
Rb  0.2500  0.5000  0.5219
Rb  0.7500  0.5000  0.4781
Zn  0.0000  0.5000  0.0000
Zn  0.5000  0.5000  0.0000
O  0.2500  0.3100  0.9118
O  0.2500  0.6900  0.9118
O  0.7500  0.3100  0.0882
O  0.7500  0.6900  0.0882

=====

(2)
CsSmReO6: simulated powder diffraction line list (Cu Ka), based on a structure optimized by DFT (GGA-PBE).

Peak list (12 most intense, 10 to 80 degrees two-theta, in order of rising 2θ)
2θ (°)	I_rel
14.21	543
22.34	724
22.48	1000
28.65	265
30.03	499
30.35	246
38.01	318
41.98	502
42.22	279
48.90	250
53.75	183
67.89	196

Structure:
Cell: 5.9519 5.9519 6.2318 Å, 90.00 90.00 120.68°
Fractional coordinates of all 9 atoms:
Cs  0.0000  0.0000  0.0000
Sm  0.3188  0.6812  0.5000
Re  0.6794  0.3206  0.5000
O  0.4177  0.3753  0.3553
O  0.4403  0.0542  0.6850
O  0.6124  0.0547  0.3102
O  0.6247  0.5823  0.6447
O  0.9453  0.3876  0.6898
O  0.9458  0.5597  0.3150

=====

(3)
CsReTeO6: simulated powder diffraction line list (Cu Ka), based on a structure optimized by DFT (GGA-PBE).

Peak list (12 most intense, 10 to 80 degrees two-theta, in order of rising 2θ)
2θ (°)	I_rel
13.77	707
21.77	1000
22.86	772
23.39	646
27.75	373
30.32	658
33.26	447
40.44	178
41.25	458
41.88	312
44.45	177
65.79	187

Structure:
Cell: 5.9304 5.9304 6.4325 Å, 90.69 90.69 125.96°
Fractional coordinates of all 9 atoms:
Cs  0.0000  0.0000  0.0000
Re  0.6625  0.3375  0.5000
Te  0.3215  0.6785  0.5000
O  0.0174  0.6280  0.6636
O  0.3720  0.9826  0.3364
O  0.5155  0.4248  0.6983
O  0.5752  0.4845  0.3017
O  0.6064  0.0369  0.6686
O  0.9631  0.3936  0.3314

=====

(4)
Cs2URe3O12: simulated powder diffraction line list (Cu Ka), based on a structure optimized by DFT (GGA-PBE).

Peak list (12 most intense, 10 to 80 degrees two-theta, in order of rising 2θ)
2θ (°)	I_rel
14.69	514
27.44	601
28.11	1000
28.33	269
28.44	416
29.62	804
44.65	248
45.09	309
47.95	392
49.62	390
57.63	167
58.14	267

Structure:
Cell: 7.5964 7.5964 7.5964 Å, 57.86 57.86 57.86°
Fractional coordinates of all 18 atoms:
Cs  0.1202  0.1202  0.1202
Cs  0.8798  0.8798  0.8798
U  0.5000  0.5000  0.5000
Re  0.0000  0.5000  0.5000
Re  0.5000  0.0000  0.5000
Re  0.5000  0.5000  0.0000
O  0.1651  0.5714  0.5714
O  0.1981  0.1981  0.5671
O  0.1981  0.5671  0.1981
O  0.4286  0.4286  0.8349
O  0.4286  0.8349  0.4286
O  0.4329  0.8019  0.8019
O  0.5671  0.1981  0.1981
O  0.5714  0.1651  0.5714
O  0.5714  0.5714  0.1651
O  0.8019  0.4329  0.8019
O  0.8019  0.8019  0.4329
O  0.8349  0.4286  0.4286